For Na2CuHgO, a crystal structure in Alexandria, relaxed with PBE gives the simulated powder diffractogram in this record (Cu Ka).

Atomic structure:
```
Na2CuHgO
1.0
4.982 0.000 0.000
0.000 4.982 0.000
0.000 0.000 3.761
Na Cu Hg O
2 1 1 1
direct
0.000 0.500 0.000 Na
0.500 0.000 0.000 Na
0.000 0.000 0.500 Cu
0.500 0.500 0.500 Hg
0.000 0.000 0.000 O
```

Most intense lines, 10° ≤ 2θ ≤ 90°, sorted by position:
- 2θ = 17.8°, I 34
- 2θ = 23.7°, I 30
- 2θ = 25.3°, I 70
- 2θ = 29.8°, I 36
- 2θ = 34.9°, I 100
- 2θ = 36.1°, I 56
- 2θ = 43.6°, I 25
- 2θ = 64.1°, I 34

---

For Nd6CuHg2, a crystal structure in Alexandria, relaxed with PBE gives the simulated powder diffractogram in this record (Cu Ka).

Atomic structure:
```
Nd6CuHg2
1.0
6.380 0.000 0.000
0.000 8.173 0.000
-6.281 0.000 10.593
Nd Cu Hg
12 2 4
direct
0.082 0.209 0.449 Nd
0.082 0.291 0.949 Nd
0.309 0.658 0.454 Nd
0.309 0.842 0.954 Nd
0.379 0.042 0.242 Nd
0.379 0.458 0.742 Nd
0.621 0.542 0.258 Nd
0.621 0.958 0.758 Nd
0.691 0.158 0.046 Nd
0.691 0.342 0.546 Nd
0.918 0.709 0.051 Nd
0.918 0.791 0.551 Nd
0.500 0.000 0.500 Cu
0.500 0.500 0.000 Cu
0.134 0.109 0.733 Hg
0.134 0.391 0.233 Hg
0.866 0.609 0.767 Hg
0.866 0.891 0.267 Hg
```

Most intense lines, 10° ≤ 2θ ≤ 90°, sorted by position:
- 2θ = 27.6°, I 60
- 2θ = 30.9°, I 100
- 2θ = 31.1°, I 78
- 2θ = 31.2°, I 78
- 2θ = 31.3°, I 37
- 2θ = 33.8°, I 47
- 2θ = 35.8°, I 43
- 2θ = 36.9°, I 54

---

For Nd6CuHg5, a crystal structure in Alexandria, relaxed with PBE gives the simulated powder diffractogram in this record (Cu Ka).

Atomic structure:
```
Nd6CuHg5
1.0
-2.684 3.833 8.044
2.684 -3.833 8.044
2.684 3.833 -8.044
Nd Cu Hg
6 1 5
direct
0.082 0.338 0.743 Nd
0.238 0.000 0.238 Nd
0.405 0.662 0.743 Nd
0.595 0.338 0.257 Nd
0.762 0.000 0.762 Nd
0.918 0.662 0.257 Nd
0.000 0.500 0.500 Cu
0.172 0.172 0.000 Hg
0.333 0.833 0.500 Hg
0.500 0.500 0.000 Hg
0.667 0.167 0.500 Hg
0.828 0.828 0.000 Hg
```

Most intense lines, 10° ≤ 2θ ≤ 90°, sorted by position:
- 2θ = 33.2°, I 100
- 2θ = 33.4°, I 49
- 2θ = 47.4°, I 9
- 2θ = 48.0°, I 18
- 2θ = 59.3°, I 19
- 2θ = 59.6°, I 37
- 2θ = 69.8°, I 11
- 2θ = 79.9°, I 12

---

For Nd3CuHg2, a crystal structure in Alexandria, relaxed with PBE gives the simulated powder diffractogram in this record (Cu Ka).

Atomic structure:
```
Nd3CuHg2
1.0
5.358 0.000 0.000
0.000 15.890 0.000
0.000 0.000 3.757
Nd Cu Hg
6 2 4
direct
0.000 0.000 0.000 Nd
0.000 0.345 0.000 Nd
0.000 0.655 0.000 Nd
0.500 0.155 0.000 Nd
0.500 0.500 0.000 Nd
0.500 0.845 0.000 Nd
0.000 0.500 0.500 Cu
0.500 0.000 0.500 Cu
0.000 0.174 0.500 Hg
0.000 0.826 0.500 Hg
0.500 0.326 0.500 Hg
0.500 0.674 0.500 Hg
```

Most intense lines, 10° ≤ 2θ ≤ 90°, sorted by position:
- 2θ = 33.4°, I 26
- 2θ = 33.7°, I 100
- 2θ = 33.8°, I 23
- 2θ = 48.3°, I 17
- 2θ = 59.9°, I 19
- 2θ = 60.2°, I 10
- 2θ = 60.4°, I 24
- 2θ = 70.9°, I 11